Starting from a cell relaxed with GGA-PBE, the PXRD pattern of LiGa2NiPt4 was simulated for a wavelength of 1.5418 Å.
Peak positions follow from Bragg's law for the DFT cell and can differ from measured ones.

Largest 10 diffraction maxima, sorted by position, 5° ≤ 2θ ≤ 70°:
- d = 3.509 Å, 2θ 25.38, I = 24, (1 0 1)
- d = 3.114 Å, 2θ 28.67, I = 444, (1 1 0)
- d = 2.903 Å, 2θ 30.80, I = 185, (0 0 2)
- d = 2.202 Å, 2θ 40.99, I = 557, (2 0 0)
- d = 2.123 Å, 2θ 42.58, I = 1000, (1 1 2)
- d = 1.754 Å, 2θ 52.14, I = 178, (2 0 2)
- d = 1.557 Å, 2θ 59.36, I = 188, (2 2 0)
- d = 1.452 Å, 2θ 64.16, I = 74, (0 0 4)
- d = 1.393 Å, 2θ 67.23, I = 85, (3 1 0)
- d = 1.372 Å, 2θ 68.37, I = 81, (2 2 2)

a = 4.404 Å, b = 4.404 Å, c = 5.806 Å
α = 90.00°, β = 90.00°, γ = 90.00°
Space group P4/mmm (No. 123)
Inequivalent atoms, fractional coordinates:
1 Li 0.000 0.000 0.000 x1
2 Ga 0.000 0.000 0.500 x1
3 Ga 0.500 0.500 0.000 x1
4 Ni 0.500 0.500 0.500 x1
5 Pt 0.000 0.500 0.252 x4